1.
Starting from a cell relaxed with GGA-PBE, the XRD peak list of BeSO6 was calculated for λ = 1.5418 Å (Cu Kα).
Lines closer than 0.1° are merged.

Main lines, most intense first (2θ = 15–90°):
| 2θ/deg | I (rel.) | hkl |
| --- | --- | --- |
| 15.81 | 100 | 0 0 1 |
| 25.16 | 31 | 0 1 -1 |
| 18.80 | 31 | 0 1 0 |
| 35.75 | 20 | 1 0 2 |
| 40.83 | 16 | -1 1 1 |
| 24.13 | 13 | 0 1 1 |
| 37.90 | 13 | 1 1 2 |
| 29.88 | 12 | 1 1 1 |
| 34.66 | 11 | 1 -1 0 |
| 25.93 | 9 | 1 0 0 |

Crystal structure
Lattice parameters (Å, degrees): 3.612 4.801 5.824 85.03 74.48 79.83
Space group P1 (No. 1)
Asymmetric unit:
Be (0.000, 0.000, 0.000) [1 per cell]
S (0.986, 0.423, 0.224) [1 per cell]
O (0.070, 0.647, 0.033) [1 per cell]
O (0.205, 0.463, 0.440) [1 per cell]
O (0.379, 0.130, 0.015) [1 per cell]
O (0.516, 0.630, 0.358) [1 per cell]
O (0.736, 0.150, 0.836) [1 per cell]
O (0.823, 0.154, 0.279) [1 per cell]

2.
Starting from a cell relaxed with GGA-PBE, the XRD peak list of Tb3UIn3Te8 was calculated for λ = 1.5418 Å (Cu Kα).
Lines closer than 0.1° are merged.

Main lines, most intense first (2θ = 15–90°):
| 2θ/deg | I (rel.) | hkl |
| --- | --- | --- |
| 27.61 | 100 | 4 0 0 |
| 37.72 | 39 | 2 2 2 |
| 41.10 | 35 | 0 4 0 |
| 50.24 | 19 | 4 4 0 |
| 66.85 | 16 | 10 2 -2 |
| 62.09 | 15 | 6 2 2 |
| 57.01 | 12 | 8 0 0 |
| 72.66 | 11 | 8 4 0 |
| 34.84 | 8 | 2 2 -3 |
| 44.39 | 7 | 0 0 4 |

Crystal structure
Lattice parameters (Å, degrees): 15.213 8.784 9.611 90.00 121.85 90.00
Space group C2/m (No. 12)
Asymmetric unit:
Tb (0.000, 0.000, 0.000) [2 per cell]
Tb (0.250, 0.250, 0.000) [4 per cell]
U (0.000, 0.500, 0.000) [2 per cell]
In (0.000, 0.500, 0.500) [2 per cell]
In (0.250, 0.250, 0.500) [4 per cell]
Te (0.010, 0.252, 0.782) [8 per cell]
Te (0.238, 0.500, 0.219) [4 per cell]
Te (0.241, 0.000, 0.220) [4 per cell]